1.
Diffraction record for U4Sb7Au6. The PXRD pattern is simulated, not measured: it uses the PBE geometry in Alexandria and CuKα.

Peak list (8 most intense, 2θ = 10–80°, low angle first)
Position (°2θ)	Rel. int.
27.11	12
30.38	14
33.37	100
38.72	59
41.17	13
55.91	33
66.69	28
75.03	9

Structure:
```
U4Sb7Au6
1.0
-4.6514 4.6514 4.6514
4.6514 -4.6514 4.6514
4.6514 4.6514 -4.6514
U Sb Au
4 7 6
direct
0.0000 0.0000 0.5000 U
0.0000 0.5000 0.0000 U
0.5000 0.0000 0.0000 U
0.5000 0.5000 0.5000 U
0.0000 0.0000 0.0000 Sb
0.2500 0.5000 0.7500 Sb
0.2500 0.7500 0.5000 Sb
0.5000 0.2500 0.7500 Sb
0.5000 0.7500 0.2500 Sb
0.7500 0.2500 0.5000 Sb
0.7500 0.5000 0.2500 Sb
0.0000 0.2991 0.2991 Au
0.0000 0.7009 0.7009 Au
0.2991 0.0000 0.2991 Au
0.2991 0.2991 0.0000 Au
0.7009 0.0000 0.7009 Au
0.7009 0.7009 0.0000 Au
```

***

2.
Diffraction record for USb2Au2. The PXRD pattern is simulated, not measured: it uses the PBE geometry in Alexandria and CuKα.

Peak list (8 most intense, 2θ = 10–80°, low angle first)
Position (°2θ)	Rel. int.
34.62	100
37.99	14
39.45	10
40.64	18
41.84	17
59.75	12
70.09	13
71.76	13

Structure:
```
USb2Au2
1.0
2.1592 -11.8424 0.0000
2.1592 11.8424 0.0000
0.0000 0.0000 4.4397
U Sb Au
2 4 4
direct
0.1469 0.8531 0.7500 U
0.8531 0.1469 0.2500 U
0.2497 0.7503 0.2500 Sb
0.3758 0.6242 0.7500 Sb
0.6242 0.3758 0.2500 Sb
0.7503 0.2497 0.7500 Sb
0.0423 0.9577 0.2500 Au
0.4575 0.5425 0.2500 Au
0.5425 0.4575 0.7500 Au
0.9577 0.0423 0.7500 Au
```